The following is a computed powder X-ray diffraction pattern of Sc6CoRh2. It was derived from a cell relaxed with PBE, using Cu Kα (weighted mean of Kα1 and Kα2).
Peak positions follow from Bragg's law for the DFT cell and can differ from measured ones.

Peak list (12 most intense, 2θ from 5° to 70°, sorted by position)
15.2°, intensity 52
22.1°, intensity 2
29.0°, intensity 7
36.4°, intensity 100
40.0°, intensity 45
43.0°, intensity 15
46.7°, intensity 7
48.3°, intensity 27
57.8°, intensity 14
60.1°, intensity 5
63.1°, intensity 10
63.8°, intensity 5

Crystal structure
```
Sc6CoRh2
1.0
0.000 5.835 6.761
2.258 0.000 6.761
2.258 5.835 0.000
Sc Co Rh
6 1 2
Cartesian
2.258 1.566 6.761 Sc
2.258 4.255 4.555 Sc
2.258 7.415 4.555 Sc
2.258 4.255 8.968 Sc
2.258 7.415 8.968 Sc
2.258 10.105 6.761 Sc
2.258 5.835 6.761 Co
2.258 5.835 2.268 Rh
2.258 5.835 11.254 Rh
```